Entry 1:
Calculated X-ray diffraction stick pattern of LiMnF4 for copper Kα, from DFT lattice parameters and positions (PBE+U).
No peak broadening, texture or thermal motion is included.

Top 10 peaks for 10° ≤ 2θ ≤ 90°, in order of rising 2θ:
16.3 deg, I 82, (2 0 0)
24.8 deg, I 100, (1 1 1)
30.7 deg, I 14, (0 2 0)
34.2 deg, I 16, (3 1 1)
37.6 deg, I 13, (4 0 1)
39.4 deg, I 20, (2 2 1)
50.8 deg, I 18, (2 2 2)
51.1 deg, I 12, (1 3 1)
60.1 deg, I 10, (6 2 0)
63.2 deg, I 10, (6 0 2)

Cell and atoms:
a = 10.880 Å, b = 5.833 Å, c = 5.022 Å
α = 90.00°, β = 90.00°, γ = 90.00°
Atoms (fractional coordinates):
Li (0.080, 0.250, 0.077)
Li (0.420, 0.750, 0.577)
Li (0.580, 0.250, 0.423)
Li (0.920, 0.750, 0.923)
Mn (0.240, 0.750, 0.035)
Mn (0.260, 0.250, 0.535)
Mn (0.740, 0.750, 0.465)
Mn (0.760, 0.250, 0.965)
F (0.089, 0.750, 0.875)
F (0.112, 0.250, 0.707)
F (0.186, 0.024, 0.253)
F (0.186, 0.476, 0.253)
F (0.314, 0.524, 0.753)
F (0.314, 0.976, 0.753)
F (0.388, 0.750, 0.207)
F (0.411, 0.250, 0.375)
F (0.589, 0.750, 0.625)
F (0.612, 0.250, 0.793)
F (0.686, 0.024, 0.247)
F (0.686, 0.476, 0.247)
F (0.814, 0.524, 0.747)
F (0.814, 0.976, 0.747)
F (0.888, 0.750, 0.293)
F (0.911, 0.250, 0.125)



Entry 2:
Calculated X-ray diffraction stick pattern of SrPrGdCoO6 for copper Kα, from DFT lattice parameters and positions (PBE+U).
No peak broadening, texture or thermal motion is included.

Top 10 peaks for 10° ≤ 2θ ≤ 90°, in order of rising 2θ:
17.7 deg, I 20, (1 0 -1)
27.3 deg, I 38, (0 2 0)
28.5 deg, I 99, (1 1 -2)
28.8 deg, I 100, (-1 1 2)
29.1 deg, I 57, (2 0 0)
40.4 deg, I 35, (2 2 0)
41.5 deg, I 28, (0 0 4)
51.2 deg, I 23, (3 1 -2)
51.4 deg, I 16, (-3 1 2)
51.5 deg, I 35, (2 0 4)

Cell and atoms:
a = 6.132 Å, b = 6.525 Å, c = 8.711 Å
α = 90.91°, β = 90.10°, γ = 90.07°
Atoms (fractional coordinates):
Sr (0.000, 0.000, 0.000)
Sr (0.500, 0.336, 0.505)
Pr (0.056, 0.837, 0.512)
Pr (0.556, 0.498, 0.007)
Gd (0.029, 0.415, 0.256)
Gd (0.529, 0.920, 0.756)
Co (0.028, 0.417, 0.756)
Co (0.528, 0.919, 0.256)
O (0.151, 0.389, 0.981)
O (0.190, 0.134, 0.695)
O (0.244, 0.089, 0.316)
O (0.310, 0.593, 0.697)
O (0.363, 0.637, 0.316)
O (0.412, 0.884, 0.032)
O (0.651, 0.946, 0.481)
O (0.691, 0.202, 0.195)
O (0.743, 0.247, 0.817)
O (0.810, 0.741, 0.198)
O (0.864, 0.697, 0.816)
O (0.912, 0.451, 0.531)